This entry pairs a crystal structure of Co2Te3 with its simulated powder XRD pattern. Radiation: Cu Kα (λ = 1.5418 Å). Structure: DFT lattice parameters and positions (GGA-PBE).
No peak broadening, texture or thermal motion is included.

Structural model:
Cell lengths 6.6539, 6.6539, 16.0315 Å; angles 90.00, 90.00, 120.00 degrees
Space group R-3c (No. 167, hexagonal axes)
One atom of each set of equivalent atoms:
Co 0.0000 0.0000 0.1582
Te 0.0000 0.3216 0.2500

Peak list (10 most intense, 2θ from 10° to 90°, low angle first)
hkl 1 1 3, 31.7°, I = 100; hkl 1 1 6, 43.4°, I = 37; hkl 3 0 0, 47.3°, I = 38; hkl 2 2 3, 58.1°, I = 17; hkl 1 1 9, 58.8°, I = 17; hkl 3 0 6, 59.2°, I = 10; hkl 2 2 6, 66.2°, I = 10; hkl 4 1 3, 78.1°, I = 14; hkl 4 1 6, 85.3°, I = 9; hkl 3 0 12, 89.3°, I = 11